No. 1
Starting from a crystal structure in OQMD, relaxed with PBE, the powder diffractogram of Tm8S was simulated for Cu Kα (λ = 1.5418 Å).

Lattice parameters (Å, degrees): 8.8647 8.8647 3.6795 90.00 90.00 120.00
Space group P-62m (No. 189)
Unique sites:
Tm1 0.0000 0.2460 0.0000 (multiplicity 3)
Tm2 0.0000 0.6019 0.5000 (multiplicity 3)
Tm3 0.3333 0.6667 0.0000 (multiplicity 2)
S1 0.0000 0.0000 0.5000 (multiplicity 1)

Most intense lines, 2θ = 10–90°, by intensity:
- d = 2.831 Å, I = 100, (1 1 1)
- d = 2.902 Å, I = 76, (2 1 0)
- d = 2.656 Å, I = 56, (2 0 1)
- d = 2.559 Å, I = 39, (3 0 0)
- d = 1.841 Å, I = 31, (0 0 2)
- d = 1.589 Å, I = 30, (3 2 1)
- d = 2.278 Å, I = 25, (2 1 1)
- d = 1.554 Å, I = 24, (2 1 2)
- d = 1.525 Å, I = 19, (4 1 1)
- d = 1.494 Å, I = 15, (3 0 2)

No. 2
Starting from a crystal structure in OQMD, relaxed with PBE, the powder diffractogram of Gd2Er2SiCl5 was simulated for Cu Kα (λ = 1.5418 Å).

Lattice parameters (Å, degrees): 17.455 3.933 8.187 90.00 102.20 90.00
Space group C2/m (No. 12)
Unique sites:
Gd1 0.001 0.000 0.269 (multiplicity 4)
Er1 0.153 0.500 0.582 (multiplicity 4)
Si1 0.000 0.500 0.500 (multiplicity 2)
Cl1 0.000 0.500 0.000 (multiplicity 2)
Cl2 0.167 0.000 0.813 (multiplicity 4)
Cl3 0.176 0.000 0.358 (multiplicity 4)

Most intense lines, 2θ = 10–90°, by intensity:
- d = 2.838 Å, I = 100, (1 1 -2)
- d = 8.002 Å, I = 63, (0 0 1)
- d = 2.024 Å, I = 25, (5 1 2)
- d = 3.235 Å, I = 24, (3 1 0)
- d = 1.992 Å, I = 21, (7 1 -2)
- d = 8.530 Å, I = 21, (2 0 0)
- d = 5.303 Å, I = 14, (2 0 1)
- d = 2.880 Å, I = 14, (3 1 1)
- d = 3.359 Å, I = 13, (2 0 2)
- d = 1.617 Å, I = 13, (6 2 0)

No. 3
Starting from a crystal structure in OQMD, relaxed with PBE, the powder diffractogram of Al13Re16 was simulated for Cu Kα (λ = 1.5418 Å).

Lattice parameters (Å, degrees): 9.568 9.568 9.568 90.00 90.00 90.00
Space group I-43m (No. 217)
Unique sites:
Al1 0.000 0.000 0.000 (multiplicity 2)
Al2 0.045 0.362 0.638 (multiplicity 24)
Re1 0.093 0.093 0.719 (multiplicity 24)
Re2 0.180 0.180 0.180 (multiplicity 8)

Most intense lines, 2θ = 10–90°, by intensity:
- d = 2.255 Å, I = 100, (4 1 1)
- d = 2.040 Å, I = 65, (3 3 2)
- d = 3.906 Å, I = 54, (2 1 1)
- d = 6.766 Å, I = 31, (1 1 0)
- d = 1.302 Å, I = 27, (7 2 1)
- d = 1.353 Å, I = 27, (5 5 0)
- d = 2.557 Å, I = 25, (3 2 1)
- d = 1.877 Å, I = 23, (5 1 0)
- d = 2.762 Å, I = 21, (2 2 2)
- d = 4.784 Å, I = 15, (2 0 0)

No. 4
Starting from a crystal structure in OQMD, relaxed with PBE, the powder diffractogram of Zr4Bi3 was simulated for Cu Kα (λ = 1.5418 Å).

Lattice parameters (Å, degrees): 8.5662 8.5662 5.7575 90.00 90.00 120.00
Space group P6_3/m (No. 176)
Unique sites:
Zr1 0.1024 0.4545 0.2500 (multiplicity 6)
Zr2 0.3333 0.6667 0.7500 (multiplicity 2)
Bi1 0.0516 0.2866 0.7500 (multiplicity 6)

Most intense lines, 2θ = 10–90°, by intensity:
- d = 2.521 Å, I = 100, (2 1 1)
- d = 2.879 Å, I = 42, (0 0 2)
- d = 2.804 Å, I = 27, (2 1 0)
- d = 2.008 Å, I = 24, (2 1 2)
- d = 1.584 Å, I = 24, (2 1 3)
- d = 3.436 Å, I = 23, (1 1 1)
- d = 1.362 Å, I = 13, (4 2 1)
- d = 4.283 Å, I = 12, (1 1 0)
- d = 1.411 Å, I = 11, (1 4 2)
- d = 1.674 Å, I = 10, (1 3 2)

No. 5
Starting from a crystal structure in OQMD, relaxed with PBE, the powder diffractogram of Pr3Ga2Ni2 was simulated for Cu Kα (λ = 1.5418 Å).

Lattice parameters (Å, degrees): 5.722 8.196 13.141 90.00 90.00 90.00
Space group Pbcm (No. 57)
Unique sites:
Pr1 0.148 0.106 0.098 (multiplicity 8)
Pr2 0.351 0.747 0.750 (multiplicity 4)
Ga1 0.163 0.101 0.750 (multiplicity 4)
Ga2 0.357 0.750 0.000 (multiplicity 4)
Ni1 0.384 0.032 0.588 (multiplicity 8)

Most intense lines, 2θ = 10–90°, by intensity:
- d = 2.299 Å, I = 100, (2 1 3)
- d = 2.466 Å, I = 97, (1 3 0)
- d = 2.701 Å, I = 79, (2 1 0)
- d = 2.650 Å, I = 71, (1 2 3)
- d = 2.691 Å, I = 68, (1 1 4)
- d = 2.993 Å, I = 58, (0 2 3)
- d = 2.563 Å, I = 46, (0 2 4)
- d = 2.190 Å, I = 37, (0 0 6)
- d = 1.637 Å, I = 31, (1 3 6)
- d = 1.929 Å, I = 31, (1 4 0)

No. 6
Starting from a crystal structure in OQMD, relaxed with PBE, the powder diffractogram of LaSmB4 was simulated for Cu Kα (λ = 1.5418 Å).

Lattice parameters (Å, degrees): 3.3126 3.3126 8.3409 90.00 90.00 120.00
Space group P6/mmm (No. 191)
Unique sites:
La1 0.0000 0.0000 0.0000 (multiplicity 1)
Sm1 0.0000 0.0000 0.5000 (multiplicity 1)
B1 0.3333 0.6667 0.2602 (multiplicity 4)

Most intense lines, 2θ = 10–90°, by intensity:
- d = 2.364 Å, I = 100, (1 0 2)
- d = 2.869 Å, I = 68, (1 0 0)
- d = 4.170 Å, I = 50, (0 0 2)
- d = 1.687 Å, I = 29, (1 0 4)
- d = 1.539 Å, I = 20, (1 1 2)
- d = 1.656 Å, I = 18, (1 1 0)
- d = 1.356 Å, I = 17, (2 0 2)
- d = 1.297 Å, I = 16, (1 1 4)
- d = 1.251 Å, I = 13, (1 0 6)
- d = 2.085 Å, I = 13, (0 0 4)

No. 7
Starting from a crystal structure in OQMD, relaxed with PBE, the powder diffractogram of Mg2Zn2SnGe was simulated for Cu Kα (λ = 1.5418 Å).

Lattice parameters (Å, degrees): 10.893 4.469 10.897 90.00 109.49 90.00
Space group Pm (No. 6)
Unique sites:
Mg1 0.000 0.000 0.000 (multiplicity 1)
Mg2 0.119 0.500 0.369 (multiplicity 1)
Mg3 0.240 0.000 0.739 (multiplicity 1)
Mg4 0.374 0.500 0.113 (multiplicity 1)
Mg5 0.508 0.000 0.491 (multiplicity 1)
Mg6 0.634 0.500 0.877 (multiplicity 1)
Mg7 0.754 0.000 0.247 (multiplicity 1)
Mg8 0.873 0.500 0.616 (multiplicity 1)
Zn1 0.117 0.500 0.617 (multiplicity 1)
Zn2 0.243 0.000 0.985 (multiplicity 1)
Zn3 0.383 0.500 0.367 (multiplicity 1)
Zn4 0.500 0.000 0.745 (multiplicity 1)
Zn5 0.634 0.500 0.130 (multiplicity 1)
Zn6 0.755 0.000 0.490 (multiplicity 1)
Zn7 0.886 0.500 0.877 (multiplicity 1)
Zn8 0.997 0.000 0.247 (multiplicity 1)
Sn1 0.250 0.000 0.243 (multiplicity 1)
Sn2 0.374 0.500 0.618 (multiplicity 1)
Sn3 0.502 0.000 0.998 (multiplicity 1)
Sn4 0.755 0.000 0.746 (multiplicity 1)
Ge1 0.125 0.500 0.866 (multiplicity 1)
Ge2 0.631 0.500 0.371 (multiplicity 1)
Ge3 0.878 0.500 0.123 (multiplicity 1)
Ge4 0.998 0.000 0.493 (multiplicity 1)

Most intense lines, 2θ = 10–90°, by intensity:
- d = 2.226 Å, I = 100, (0 1 4)
- d = 3.637 Å, I = 82, (1 0 -3)
- d = 1.898 Å, I = 27, (3 1 3)
- d = 2.234 Å, I = 21, (0 2 0)
- d = 1.285 Å, I = 19, (4 1 -8)
- d = 1.903 Å, I = 14, (1 2 -3)
- d = 1.288 Å, I = 13, (0 3 4)
- d = 1.576 Å, I = 13, (4 2 -4)
- d = 3.150 Å, I = 12, (2 0 2)
- d = 1.113 Å, I = 8, (0 2 8)

No. 8
Starting from a crystal structure in OQMD, relaxed with PBE, the powder diffractogram of DyErCu6 was simulated for Cu Kα (λ = 1.5418 Å).

Lattice parameters (Å, degrees): 4.370 5.823 5.064 90.00 90.00 90.00
Space group Pmm2 (No. 25)
Unique sites:
Dy1 0.000 0.000 0.000 (multiplicity 1)
Er1 0.500 0.500 0.722 (multiplicity 1)
Cu1 0.000 0.229 0.501 (multiplicity 2)
Cu2 0.000 0.500 0.113 (multiplicity 1)
Cu3 0.500 0.000 0.598 (multiplicity 1)
Cu4 0.500 0.277 0.221 (multiplicity 2)

Most intense lines, 2θ = 10–90°, by intensity:
- d = 2.187 Å, I = 100, (1 2 1)
- d = 2.185 Å, I = 26, (2 0 0)
- d = 2.524 Å, I = 20, (0 2 1)
- d = 3.495 Å, I = 18, (1 1 0)
- d = 1.262 Å, I = 17, (3 2 1)
- d = 2.322 Å, I = 16, (0 1 2)
- d = 2.876 Å, I = 15, (1 1 1)
- d = 1.212 Å, I = 14, (2 4 0)
- d = 1.652 Å, I = 13, (2 2 1)
- d = 1.591 Å, I = 10, (2 1 2)

No. 9
Starting from a crystal structure in OQMD, relaxed with PBE, the powder diffractogram of AlCuCl4 was simulated for Cu Kα (λ = 1.5418 Å).

Lattice parameters (Å, degrees): 12.767 7.645 6.125 90.00 90.00 90.00
Space group Pna2_1 (No. 33)
Unique sites:
Al1 0.087 0.246 0.000 (multiplicity 4)
Cu1 0.162 0.993 0.503 (multiplicity 4)
Cl1 0.073 0.745 0.384 (multiplicity 4)
Cl2 0.091 0.249 0.353 (multiplicity 4)
Cl3 0.164 0.011 0.883 (multiplicity 4)
Cl4 0.165 0.478 0.878 (multiplicity 4)

Most intense lines, 2θ = 10–90°, by intensity:
- d = 4.477 Å, I = 100, (1 1 1)
- d = 3.279 Å, I = 94, (2 2 0)
- d = 3.063 Å, I = 86, (0 0 2)
- d = 2.891 Å, I = 80, (2 2 1)
- d = 1.733 Å, I = 71, (2 2 3)
- d = 1.859 Å, I = 66, (6 2 0)
- d = 3.192 Å, I = 57, (4 0 0)
- d = 6.559 Å, I = 48, (1 1 0)
- d = 3.718 Å, I = 47, (3 1 0)
- d = 1.911 Å, I = 40, (0 4 0)

No. 10
Starting from a crystal structure in OQMD, relaxed with PBE, the powder diffractogram of Hf2Re was simulated for Cu Kα (λ = 1.5418 Å).

Lattice parameters (Å, degrees): 7.707 7.707 7.707 90.00 90.00 90.00
Space group Fd-3m (No. 227, origin choice 2)
Unique sites:
Hf1 0.000 0.000 0.000 (multiplicity 16)
Re1 0.125 0.125 0.625 (multiplicity 8)

Most intense lines, 2θ = 10–90°, by intensity:
- d = 2.324 Å, I = 100, (3 1 1)
- d = 2.225 Å, I = 39, (2 2 2)
- d = 1.483 Å, I = 33, (5 1 1)
- d = 1.362 Å, I = 29, (4 4 0)
- d = 2.725 Å, I = 28, (2 2 0)
- d = 1.162 Å, I = 15, (6 2 2)
- d = 1.175 Å, I = 12, (5 3 3)
- d = 1.573 Å, I = 11, (4 2 2)
- d = 1.219 Å, I = 5, (6 2 0)
- d = 1.927 Å, I = 4, (4 0 0)

No. 11
Starting from a crystal structure in OQMD, relaxed with PBE, the powder diffractogram of Sm2PIr8 was simulated for Cu Kα (λ = 1.5418 Å).

Lattice parameters (Å, degrees): 4.236 17.301 5.294 90.00 90.00 90.00
Space group Amm2 (No. 38)
Unique sites:
Sm1 0.000 0.118 0.000 (multiplicity 4)
P1 0.500 0.000 0.741 (multiplicity 2)
Ir1 0.000 0.000 0.510 (multiplicity 2)
Ir2 0.000 0.202 0.496 (multiplicity 4)
Ir3 0.500 0.000 0.162 (multiplicity 2)
Ir4 0.500 0.113 0.502 (multiplicity 4)
Ir5 0.500 0.246 0.752 (multiplicity 4)

Most intense lines, 2θ = 10–90°, by intensity:
- d = 2.391 Å, I = 100, (1 5 1)
- d = 2.118 Å, I = 37, (2 0 0)
- d = 1.992 Å, I = 29, (1 4 2)
- d = 2.244 Å, I = 28, (1 0 2)
- d = 2.258 Å, I = 19, (0 4 2)
- d = 2.869 Å, I = 18, (1 3 1)
- d = 5.062 Å, I = 17, (0 1 1)
- d = 1.269 Å, I = 15, (3 5 1)
- d = 2.163 Å, I = 14, (0 8 0)
- d = 1.474 Å, I = 13, (1 5 3)

Q: What is the formula in the ninth record?
A: AlCuCl4

Q: Number 2 is which compound?
A: Gd2Er2SiCl5